The following is a simulated powder X-ray diffraction pattern of SmHoMg6. It was derived from the PBE geometry in Alexandria, using Cu Kα X-rays.
Neutral-atom scattering factors, no anomalous dispersion.

Peak list (10 most intense, 2θ from 10° to 80°, by angle)
2θ/deg, Rel. int.
15.24, 37
22.95, 95
26.55, 44
30.75, 24
34.53, 24
35.38, 100
44.08, 23
44.77, 31
46.89, 24
54.68, 26

```
SmHoMg6
1.0
5.1954 0.0000 0.0000
0.0000 3.3599 5.8108
0.0000 -3.3599 5.8108
Sm Ho Mg
1 1 6
direct
0.0000 0.0000 0.0000
0.5000 0.6677 0.6677
0.0000 0.0060 0.4971
0.0000 0.4971 0.0060
0.0000 0.4981 0.4981
0.5000 0.1715 0.1715
0.5000 0.1725 0.6579
0.5000 0.6579 0.1725
```

The following is a simulated powder X-ray diffraction pattern of Sm12Ho2Mg. It was derived from the PBE geometry in Alexandria, using Cu Kα X-rays.
Neutral-atom scattering factors, no anomalous dispersion.

Peak list (10 most intense, 2θ from 10° to 80°, by angle)
2θ/deg, Rel. int.
28.90, 21
29.80, 33
30.32, 100
31.07, 69
32.90, 40
33.04, 61
36.84, 32
56.50, 20
61.00, 27
62.22, 20

```
Sm12Ho2Mg
1.0
3.5743 -5.7572 0.0000
3.5743 5.7572 0.0000
0.0000 0.0000 24.5866
Sm Ho Mg
24 4 2
direct
0.0004 0.9996 0.0742
0.9996 0.0004 0.9258
0.0007 0.5007 0.8735
0.0176 0.5176 0.4129
0.0233 0.9767 0.5606
0.2500 0.2500 0.1968
0.2500 0.2500 0.3239
0.2500 0.2500 0.6761
0.2500 0.2500 0.8032
0.4767 0.5233 0.5606
0.4824 0.9824 0.4129
0.4993 0.9993 0.8735
0.4996 0.5004 0.0742
0.5004 0.4996 0.9258
0.5007 0.0007 0.1265
0.5176 0.0176 0.5871
0.5233 0.4767 0.4394
0.7500 0.7500 0.1968
0.7500 0.7500 0.3239
0.7500 0.7500 0.6761
0.7500 0.7500 0.8032
0.9767 0.0233 0.4394
0.9824 0.4824 0.5871
0.9993 0.4993 0.1265
0.2500 0.7500 0.2635
0.2500 0.7500 0.7328
0.7500 0.2500 0.2672
0.7500 0.2500 0.7365
0.2500 0.7500 0.0000
0.7500 0.2500 0.0000
```

The following is a simulated powder X-ray diffraction pattern of Sm5Ho4Mg2. It was derived from the PBE geometry in Alexandria, using Cu Kα X-rays.
Neutral-atom scattering factors, no anomalous dispersion.

Peak list (10 most intense, 2θ from 10° to 80°, by angle)
2θ/deg, Rel. int.
13.27, 33
26.68, 31
31.18, 100
32.36, 29
32.64, 79
33.04, 98
33.56, 78
35.33, 55
53.76, 39
62.61, 47

```
Sm5Ho4Mg2
1.0
11.1885 -1.7623 0.0000
11.1885 1.7623 0.0000
-0.5913 0.0000 8.7470
Sm Ho Mg
5 4 2
direct
0.0000 0.0000 0.0000
0.3168 0.3168 0.5246
0.3669 0.3669 0.9032
0.6331 0.6331 0.0968
0.6832 0.6832 0.4754
0.2105 0.2105 0.8206
0.4264 0.4264 0.2806
0.5736 0.5736 0.7194
0.7895 0.7895 0.1794
0.0538 0.0538 0.3794
0.9462 0.9462 0.6206
```

The following is a simulated powder X-ray diffraction pattern of Sm12Ho6Mg. It was derived from the PBE geometry in Alexandria, using Cu Kα X-rays.
Neutral-atom scattering factors, no anomalous dispersion.

Peak list (10 most intense, 2θ from 10° to 80°, by angle)
2θ/deg, Rel. int.
23.02, 16
30.74, 36
31.32, 23
31.61, 100
32.86, 70
33.27, 27
34.79, 15
44.94, 12
55.19, 16
58.39, 12

```
Sm12Ho6Mg
1.0
5.9981 3.4630 5.0495
-5.9981 3.4630 5.0495
0.0000 -6.9260 5.0495
Sm Ho Mg
12 6 1
direct
0.0383 0.2826 0.9323
0.0677 0.9617 0.7174
0.1358 0.3167 0.4843
0.2826 0.9323 0.0383
0.3167 0.4843 0.1358
0.4843 0.1358 0.3167
0.5157 0.8642 0.6833
0.6833 0.5157 0.8642
0.7174 0.0677 0.9617
0.8642 0.6833 0.5157
0.9323 0.0383 0.2826
0.9617 0.7174 0.0677
0.2099 0.5990 0.7600
0.2400 0.7901 0.4011
0.4011 0.2400 0.7901
0.5989 0.7600 0.2099
0.7600 0.2099 0.5989
0.7901 0.4011 0.2400
0.5000 0.5000 0.5000
```

The following is a simulated powder X-ray diffraction pattern of Sm7Ho3Mg. It was derived from the PBE geometry in Alexandria, using Cu Kα X-rays.
Neutral-atom scattering factors, no anomalous dispersion.

Peak list (10 most intense, 2θ from 10° to 80°, by angle)
2θ/deg, Rel. int.
17.78, 16
25.25, 13
31.02, 100
31.15, 33
36.01, 67
51.76, 24
51.93, 24
61.63, 42
61.81, 14
64.67, 12

```
Sm7Ho3Mg
1.0
7.0645 0.0000 0.0000
-3.5323 6.1181 0.0000
0.0000 0.0000 8.6135
Sm Ho Mg
7 3 1
direct
0.0000 0.0000 0.0000
0.9995 0.4998 0.0010
0.1642 0.3283 0.6662
0.1642 0.8358 0.6662
0.5002 0.0005 0.0010
0.5002 0.4998 0.0010
0.6717 0.8358 0.6662
0.3310 0.1655 0.3327
0.8345 0.1655 0.3327
0.8345 0.6690 0.3327
0.6667 0.3333 0.6666
```

The following is a simulated powder X-ray diffraction pattern of Sm3HoMg. It was derived from the PBE geometry in Alexandria, using Cu Kα X-rays.
Neutral-atom scattering factors, no anomalous dispersion.

Peak list (10 most intense, 2θ from 10° to 80°, by angle)
2θ/deg, Rel. int.
16.32, 21
25.07, 32
28.91, 33
31.43, 65
31.91, 100
33.09, 74
33.35, 89
43.23, 22
57.19, 23
60.07, 20

```
Sm3HoMg
1.0
9.0998 -2.8459 0.0000
9.0998 2.8459 0.0000
-0.3949 0.0000 6.1769
Sm Ho Mg
6 2 2
direct
0.0456 0.0456 0.2744
0.1546 0.1546 0.8079
0.3532 0.3532 0.8459
0.6468 0.6468 0.1541
0.8454 0.8454 0.1921
0.9544 0.9544 0.7256
0.2474 0.2474 0.3304
0.7526 0.7526 0.6696
0.4363 0.4363 0.3421
0.5637 0.5637 0.6579
```

The following is a simulated powder X-ray diffraction pattern of Sm8Ho3Mg. It was derived from the PBE geometry in Alexandria, using Cu Kα X-rays.
Neutral-atom scattering factors, no anomalous dispersion.

Peak list (10 most intense, 2θ from 10° to 80°, by angle)
2θ/deg, Rel. int.
24.31, 84
25.85, 92
29.22, 82
31.32, 79
33.02, 39
36.44, 100
43.36, 54
44.84, 46
49.80, 34
69.81, 31

```
Sm8Ho3Mg
1.0
-4.3220 4.3220 5.7119
4.3220 -4.3220 5.7119
4.3220 4.3220 -5.7119
Sm Ho Mg
8 3 1
direct
0.1203 0.1203 0.7460
0.2386 0.2386 0.4979
0.2592 0.7614 0.0000
0.3743 0.3743 0.2540
0.6257 0.8797 0.0000
0.7408 0.7408 0.5021
0.7614 0.2592 0.0000
0.8797 0.6257 0.0000
0.0000 0.0000 0.0000
0.2500 0.7500 0.5000
0.7500 0.2500 0.5000
0.5000 0.5000 0.0000
```

The following is a simulated powder X-ray diffraction pattern of Tb2Sm2HoMg5. It was derived from the PBE geometry in Alexandria, using Cu Kα X-rays.
Neutral-atom scattering factors, no anomalous dispersion.

Peak list (10 most intense, 2θ from 10° to 80°, by angle)
2θ/deg, Rel. int.
17.45, 91
26.59, 46
29.61, 23
31.98, 100
34.89, 20
35.29, 67
44.75, 23
47.25, 15
50.49, 14
61.30, 15

```
Tb2Sm2HoMg5
1.0
10.6013 0.0000 0.0000
0.0000 10.6013 0.0000
0.0000 0.0000 5.0833
Tb Sm Ho Mg
4 4 2 10
direct
0.1202 0.3798 0.0000
0.3798 0.8798 0.0000
0.6202 0.1202 0.0000
0.8798 0.6202 0.0000
0.1774 0.6774 0.0000
0.3226 0.1774 0.0000
0.6774 0.8226 0.0000
0.8226 0.3226 0.0000
0.0000 0.0000 0.0000
0.5000 0.5000 0.0000
0.0000 0.5000 0.5000
0.0682 0.1971 0.5000
0.1971 0.9318 0.5000
0.3029 0.4318 0.5000
0.4318 0.6971 0.5000
0.5000 0.0000 0.5000
0.5682 0.3029 0.5000
0.6971 0.5682 0.5000
0.8029 0.0682 0.5000
0.9318 0.8029 0.5000
```

The following is a simulated powder X-ray diffraction pattern of TbSm2Ho4Mg. It was derived from the PBE geometry in Alexandria, using Cu Kα X-rays.
Neutral-atom scattering factors, no anomalous dispersion.

Peak list (10 most intense, 2θ from 10° to 80°, by angle)
2θ/deg, Rel. int.
19.97, 3
31.09, 100
35.63, 17
36.25, 33
51.74, 24
52.21, 12
61.18, 15
61.96, 14
62.07, 14
64.81, 12

```
TbSm2Ho4Mg
1.0
4.9504 0.0000 0.0000
0.0000 4.9609 0.0000
0.0000 0.0000 10.0793
Tb Sm Ho Mg
1 2 4 1
direct
0.0000 0.0000 0.0000
0.0000 0.0000 0.5000
0.5000 0.5000 0.0000
0.0000 0.5000 0.2514
0.0000 0.5000 0.7486
0.5000 0.0000 0.2514
0.5000 0.0000 0.7486
0.5000 0.5000 0.5000
```

The following is a simulated powder X-ray diffraction pattern of Sm2Ho4TmMg. It was derived from the PBE geometry in Alexandria, using Cu Kα X-rays.
Neutral-atom scattering factors, no anomalous dispersion.

Peak list (10 most intense, 2θ from 10° to 80°, by angle)
2θ/deg, Rel. int.
17.91, 3
31.16, 100
35.85, 17
36.28, 33
51.93, 24
52.25, 12
61.52, 14
62.05, 14
62.16, 14
64.99, 12

```
Sm2Ho4TmMg
1.0
4.9574 0.0000 0.0000
0.0000 4.9462 0.0000
-0.0081 0.0000 10.0200
Sm Ho Tm Mg
2 4 1 1
direct
0.0000 0.0000 0.0000
0.5000 0.5000 0.5000
0.0004 0.5000 0.2501
0.9996 0.5000 0.7499
0.5001 0.0000 0.2499
0.4999 0.0000 0.7501
0.0000 0.0000 0.5000
0.5000 0.5000 0.0000
```

The following is a simulated powder X-ray diffraction pattern of Sm3Ho6Tm2Mg. It was derived from the PBE geometry in Alexandria, using Cu Kα X-rays.
Neutral-atom scattering factors, no anomalous dispersion.

Peak list (10 most intense, 2θ from 10° to 80°, by angle)
2θ/deg, Rel. int.
30.97, 100
31.64, 31
36.11, 66
51.56, 24
52.44, 23
61.37, 14
61.76, 28
62.55, 13
64.56, 12
76.62, 7

```
Sm3Ho6Tm2Mg
1.0
3.0698 -5.3192 0.0000
3.0698 5.3192 0.0000
-2.0577 0.0000 11.3105
Sm Ho Tm Mg
3 6 2 1
direct
0.0000 0.0000 0.0000
0.3344 0.6656 0.0000
0.6656 0.3344 0.0000
0.0857 0.4189 0.2554
0.2478 0.2478 0.7454
0.4189 0.0857 0.2554
0.5811 0.9143 0.7446
0.7522 0.7522 0.2546
0.9143 0.5811 0.7446
0.1665 0.8335 0.5000
0.8335 0.1665 0.5000
0.5000 0.5000 0.5000
```

The following is a simulated powder X-ray diffraction pattern of Sm4YHo2Mg. It was derived from the PBE geometry in Alexandria, using Cu Kα X-rays.
Neutral-atom scattering factors, no anomalous dispersion.

Peak list (10 most intense, 2θ from 10° to 80°, by angle)
2θ/deg, Rel. int.
19.76, 12
30.87, 100
35.66, 34
36.08, 16
51.31, 12
51.63, 24
61.09, 28
61.67, 14
64.33, 12
75.51, 4

```
Sm4YHo2Mg
1.0
5.0362 0.0000 0.0000
0.0000 5.0362 0.0000
0.0000 0.0000 9.9563
Sm Y Ho Mg
4 1 2 1
direct
0.0000 0.5000 0.2456
0.0000 0.5000 0.7544
0.5000 0.0000 0.2456
0.5000 0.0000 0.7544
0.0000 0.0000 0.5000
0.0000 0.0000 0.0000
0.5000 0.5000 0.5000
0.5000 0.5000 0.0000
```